No. 1
Simulated PXRD pattern of TmBr2 for Cu Kα, from a crystal structure in the Materials Project, relaxed with PBE.
No peak broadening, texture or thermal motion is included.

Structural model:
```
data_TmBr2
_chemical_formula_sum 'Tm8 Br16'
_cell_length_a 6.5840
_cell_length_b 12.7843
_cell_length_c 7.7036
_cell_angle_alpha 90.00
_cell_angle_beta 90.00
_cell_angle_gamma 90.00
_space_group_name_H-M_alt 'P b c a'
_space_group_IT_number 61
_space_group_name_Hall '-P 2ac 2ab'
loop_
_atom_site_label
_atom_site_type_symbol
_atom_site_fract_x
_atom_site_fract_y
_atom_site_fract_z
Tm1 Tm 0.1695 0.0967 0.0476
Br1 Br 0.0249 0.0425 0.7032
Br2 Br 0.2039 0.7061 0.3765
```

Top 12 peaks for 5 to 70 degrees two-theta, low angle first:
2θ (°)	I (rel.)
13.9	270
19.0	309
22.6	1000
30.3	698
32.7	307
33.3	729
34.4	601
35.9	302
36.5	385
37.8	439
40.3	320
43.4	521

No. 2
Simulated PXRD pattern of K2RbBiSe3 for Cu Kα, from a crystal structure in the Materials Project, relaxed with PBE.
No peak broadening, texture or thermal motion is included.

Structural model:
```
data_K2RbBiSe3
_chemical_formula_sum 'K8 Rb4 Bi4 Se12'
_cell_length_a 10.0922
_cell_length_b 10.0922
_cell_length_c 10.0922
_cell_angle_alpha 90.00
_cell_angle_beta 90.00
_cell_angle_gamma 90.00
_space_group_name_H-M_alt 'P 21 3'
_space_group_IT_number 198
_space_group_name_Hall 'P 2ac 2ab 3'
loop_
_atom_site_label
_atom_site_type_symbol
_atom_site_fract_x
_atom_site_fract_y
_atom_site_fract_z
K1 K 0.1807 0.3193 0.6807
K2 K 0.1865 0.6865 0.8135
Rb1 Rb 0.0718 0.0718 0.0718
Bi1 Bi 0.0319 0.9681 0.4681
Se1 Se 0.0028 0.2232 0.3942
```

Top 12 peaks for 5 to 70 degrees two-theta, low angle first:
2θ (°)	I (rel.)
15.2	479
17.6	443
25.0	262
28.0	1000
29.4	184
33.2	495
40.0	195
44.0	176
45.8	360
46.8	160
56.2	174
68.3	161

No. 3
Simulated PXRD pattern of Si for Cu Kα, from a crystal structure in the Materials Project, relaxed with PBE.
No peak broadening, texture or thermal motion is included.

Structural model:
```
data_Si
_chemical_formula_sum 'Si24'
_cell_length_a 9.4432
_cell_length_b 9.4432
_cell_length_c 5.6743
_cell_angle_alpha 90.00
_cell_angle_beta 90.00
_cell_angle_gamma 120.00
_space_group_name_H-M_alt 'R -3'
_space_group_IT_number 148
_space_group_name_Hall '-R 3'
loop_
_atom_site_label
_atom_site_type_symbol
_atom_site_fract_x
_atom_site_fract_y
_atom_site_fract_z
Si1 Si 0.0000 0.0000 0.2131
Si2 Si 0.0351 0.7684 0.7483
```

Top 12 peaks for 5 to 70 degrees two-theta, low angle first:
2θ (°)	I (rel.)
19.0	111
26.9	89
32.9	400
33.0	1000
33.4	433
51.2	321
51.3	214
51.6	329
52.1	259
55.4	300
62.3	108
65.7	49